For BaH2ClO, the PBE geometry in Alexandria gives the theoretical X-ray powder pattern in this record (a wavelength of 1.5418 Å).
Neutral-atom scattering factors, no anomalous dispersion.

Cell and atoms:
```
data_BaH2ClO
_symmetry_space_group_name_H-M 'C m c m'
_symmetry_Int_Tables_number 63
_symmetry_space_group_name_Hall '-C 2c 2'
_cell_length_a 4.1609
_cell_length_b 12.5226
_cell_length_c 6.4000
_cell_angle_alpha 90.00
_cell_angle_beta 90.00
_cell_angle_gamma 90.00
loop_
_atom_site_label
_atom_site_type_symbol
_atom_site_fract_x
_atom_site_fract_y
_atom_site_fract_z
Ba1 Ba 0.0000 0.1068 0.2500
H1 H 0.0000 0.4498 0.1700
Cl1 Cl 0.0000 0.2081 0.7500
O1 O 0.0000 0.5000 0.0000
```

The 10 most intense peaks (2θ = 10–80°), most intense first:
2θ = 33.48°, 2.677 Å, I 100, (1 3 1)
2θ = 19.84°, 4.476 Å, I 99, (0 2 1)
2θ = 36.13°, 2.486 Å, I 62, (1 1 2)
2θ = 22.52°, 3.949 Å, I 53, (1 1 0)
2θ = 27.88°, 3.200 Å, I 44, (0 0 2)
2θ = 30.33°, 2.947 Å, I 31, (1 3 0)
2θ = 52.99°, 1.728 Å, I 25, (1 3 3)
2θ = 31.82°, 2.812 Å, I 20, (0 4 1)
2θ = 48.24°, 1.887 Å, I 20, (2 2 1)
2θ = 40.30°, 2.238 Å, I 19, (0 4 2)